The following is a computed powder diffraction line list of Li3Pt2O6. It was derived from a DFT-relaxed cell (GGA-PBE, OQMD), using copper Kα.
Lines closer than 0.1° are merged.

Atomic structure:
abc: 5.168 5.175 9.605
angles: 80.38 87.66 61.27
Positions (direct):
Li  0.000  0.000  0.000
Li  0.005  0.543  0.553
Li  0.317  0.589  0.321
Li  0.342  0.099  0.756
Li  0.640  0.728  0.012
Li  0.717  0.133  0.556
Pt  0.290  0.385  0.019
Pt  0.639  0.934  0.285
Pt  0.653  0.462  0.767
Pt  0.975  0.267  0.283
O  0.293  0.011  0.150
O  0.321  0.199  0.398
O  0.333  0.716  0.899
O  0.376  0.451  0.647
O  0.596  0.328  0.176
O  0.608  0.123  0.905
O  0.675  0.797  0.666
O  0.687  0.547  0.401
O  0.938  0.397  0.931
O  0.964  0.908  0.401
O  0.967  0.637  0.161
O  0.975  0.197  0.668

Top 6 peaks for 15° ≤ 2θ ≤ 90°, sorted by position:
| index | 2θ (°) | intensity |
| --- | --- | --- |
| 0 0 2 | 18.8 | 72 |
| 0 1 1 | 20.5 | 100 |
| 1 1 1 | 21.1 | 85 |
| 1 0 -2 | 26.6 | 57 |
| -1 1 3 | 42.0 | 59 |
| 1 2 -2 | 43.0 | 56 |

The following is a computed powder diffraction line list of BaPrSn2S6. It was derived from a DFT-relaxed cell (GGA-PBE, OQMD), using copper Kα.
Lines closer than 0.1° are merged.

Atomic structure:
abc: 4.053 20.239 12.082
angles: 90.00 90.00 90.00
Positions (direct):
Ba  0.000  0.079  0.000
Ba  0.000  0.364  0.436
Ba  0.000  0.636  0.936
Ba  0.000  0.921  0.500
Pr  0.000  0.122  0.366
Pr  0.000  0.419  0.058
Pr  0.000  0.581  0.558
Pr  0.000  0.878  0.866
Sn  0.000  0.253  0.779
Sn  0.000  0.747  0.279
Sn  0.500  0.091  0.676
Sn  0.500  0.249  0.185
Sn  0.500  0.424  0.733
Sn  0.500  0.576  0.233
Sn  0.500  0.751  0.685
Sn  0.500  0.909  0.176
S  0.000  0.014  0.741
S  0.000  0.165  0.604
S  0.000  0.260  0.063
S  0.000  0.493  0.778
S  0.000  0.507  0.278
S  0.000  0.740  0.563
S  0.000  0.835  0.104
S  0.000  0.986  0.241
S  0.500  0.043  0.479
S  0.500  0.122  0.187
S  0.500  0.160  0.849
S  0.500  0.232  0.387
S  0.500  0.318  0.634
S  0.500  0.363  0.914
S  0.500  0.373  0.221
S  0.500  0.476  0.537
S  0.500  0.524  0.037
S  0.500  0.627  0.721
S  0.500  0.637  0.414
S  0.500  0.682  0.134
S  0.500  0.768  0.887
S  0.500  0.840  0.349
S  0.500  0.878  0.687
S  0.500  0.957  0.979

Top 6 peaks for 15° ≤ 2θ ≤ 90°, sorted by position:
| index | 2θ (°) | intensity |
| --- | --- | --- |
| 0 3 3 | 25.8 | 44 |
| 0 6 0 | 26.5 | 66 |
| 1 3 1 | 26.7 | 100 |
| 1 5 1 | 32.1 | 53 |
| 2 0 0 | 44.7 | 49 |
| 1 6 4 | 46.2 | 36 |